Diffraction record for InBr. The X-ray powder pattern is theoretical, not measured: it uses the PBE geometry in Alexandria and Cu Kα, 1.54184 Å.
Neutral-atom scattering factors, no anomalous dispersion.

Main lines, sorted by position (2θ from 5° to 70°):
two_theta, I/Imax, h k l
19.04, 54, 0 1 0
24.12, 69, 3 0 1
29.20, 100, 0 1 2
30.91, 75, 3 1 1
32.63, 76, 2 1 2
34.69, 60, 4 1 0

```
12
Lattice="12.433 0.000 0.000 0.000 4.661 0.000 0.000 0.000 8.104" Properties=species:S:1:pos:R:3 pbc="T T T"
In 0.000 0.046 0.000
In 2.610 0.034 4.644
In 3.607 4.626 0.592
In 6.216 4.615 4.052
In 8.826 4.626 0.592
In 9.823 0.034 4.644
Br 0.000 0.096 3.206
Br 2.010 2.336 6.814
Br 4.206 2.324 2.762
Br 6.216 4.565 7.258
Br 8.227 2.324 2.762
Br 10.422 2.336 6.814
```



Diffraction record for InBr. The X-ray powder pattern is theoretical, not measured: it uses the PBE geometry in Alexandria and Cu Kα, 1.54184 Å.
Neutral-atom scattering factors, no anomalous dispersion.

Main lines, sorted by position (2θ from 5° to 70°):
two_theta, I/Imax, h k l
27.93, 33, 0 0 4
30.93, 100, 1 1 2
39.30, 26, 2 0 0
48.90, 27, 2 0 4
51.33, 23, 1 1 6
66.08, 21, 3 1 2

```
8
Lattice="4.585 0.000 0.000 0.000 4.585 0.000 0.000 0.000 12.776" Properties=species:S:1:pos:R:3 pbc="T T T"
In 0.000 1.146 4.791
In 0.000 3.439 7.985
In 2.293 1.146 1.597
In 2.293 3.439 11.179
Br 0.000 1.146 11.179
Br 0.000 3.439 1.597
Br 2.293 1.146 7.985
Br 2.293 3.439 4.791
```



Diffraction record for InBr. The X-ray powder pattern is theoretical, not measured: it uses the PBE geometry in Alexandria and Cu Kα, 1.54184 Å.
Neutral-atom scattering factors, no anomalous dispersion.

Main lines, sorted by position (2θ from 5° to 70°):
two_theta, I/Imax, h k l
26.15, 34, 1 0 1
28.67, 54, 1 1 -2
31.29, 100, -1 2 1
32.51, 76, 0 2 -2
34.72, 35, 1 0 -3
52.82, 37, 2 -2 1

```
8
Lattice="4.460 0.000 0.000 -0.003 7.663 0.000 -2.220 -0.013 7.926" Properties=species:S:1:pos:R:3 pbc="T T T"
In 0.003 3.657 1.842
In 0.012 0.122 1.837
In 2.225 7.528 6.089
In 2.234 3.993 6.084
Br 0.004 5.737 4.169
Br 0.005 1.912 7.175
Br 2.231 5.738 0.751
Br 2.233 1.913 3.757
```



Diffraction record for In5Br. The X-ray powder pattern is theoretical, not measured: it uses the PBE geometry in Alexandria and Cu Kα, 1.54184 Å.
Neutral-atom scattering factors, no anomalous dispersion.

Main lines, sorted by position (2θ from 5° to 70°):
two_theta, I/Imax, h k l
28.67, 72, 1 1 1
30.99, 51, 4 0 -1
32.88, 71, 0 0 3
33.04, 100, 1 1 -2
34.11, 32, 3 1 0
37.26, 45, 3 1 1

```
12
Lattice="11.703 0.000 0.000 0.000 3.613 0.000 -1.567 0.000 8.171" Properties=species:S:1:pos:R:3 pbc="T T T"
In 0.000 0.000 0.000
In -0.217 1.807 2.593
In -0.130 0.000 5.205
In 1.114 1.807 7.836
In 3.025 0.000 5.603
In 5.851 1.807 0.000
In 5.634 0.000 2.593
In 5.722 1.807 5.205
In 6.965 0.000 7.836
In 8.876 1.807 5.603
Br 2.791 1.807 2.702
Br 8.642 0.000 2.702
```